# Li4In2AgHg
Theoretical X-ray powder pattern, Cu Ka. Input: a crystal structure in OQMD, relaxed with PBE.
No peak broadening, texture or thermal motion is included.

Most intense lines, 5° ≤ 2θ ≤ 70°, in order of rising 2θ:
d (Å)  intensity
6.618  3
4.678  4
3.820  100
2.959  4
2.701  3
2.339  93
1.995  51
1.654  16
1.518  21
1.350  31

Atomic structure:
Unit cell a=4.678 b=4.678 c=6.618 alpha=90.00 beta=90.00 gamma=90.00
Space group P-4m2 (No. 115)
One atom of each set of equivalent atoms:
Li: 0.000 0.000 0.000 x1
Li: 0.000 0.500 0.247 x2
Li: 0.500 0.500 0.500 x1
In: 0.000 0.500 0.761 x2
Ag: 0.500 0.500 0.000 x1
Hg: 0.000 0.000 0.500 x1